No. 1
For Ag3SI, a PBE-relaxed structure gives the computed X-ray powder pattern in this record (Cu Kα, 1.54184 Å).
Neutral-atom scattering factors, no anomalous dispersion.

Most intense lines, 15 to 90 degrees two-theta, sorted by position:
d = 3.585 Å, 2θ = 24.84°, intensity 28.4
d = 3.524 Å, 2θ = 25.27°, intensity 59.6
d = 2.896 Å, 2θ = 30.88°, intensity 100.0
d = 2.872 Å, 2θ = 31.14°, intensity 41.4
d = 2.841 Å, 2θ = 31.49°, intensity 51.5
d = 2.641 Å, 2θ = 33.94°, intensity 39.8
d = 2.508 Å, 2θ = 35.80°, intensity 84.7
d = 2.456 Å, 2θ = 36.59°, intensity 46.5

Structural model:
Lattice parameters (Å, degrees): 4.913 7.169 7.023 90.00 90.66 90.00
Fractional positions:
Ag (0.006, 0.000, 0.176)
Ag (0.381, 0.160, 0.509)
Ag (0.483, 0.614, 0.066)
Ag (0.517, 0.114, 0.934)
Ag (0.619, 0.660, 0.491)
Ag (0.994, 0.500, 0.824)
S (0.491, 0.424, 0.754)
S (0.509, 0.924, 0.246)
I (0.009, 0.418, 0.270)
I (0.991, 0.918, 0.730)


No. 2
For Ag4SI, a PBE-relaxed structure gives the computed X-ray powder pattern in this record (Cu Kα, 1.54184 Å).
Neutral-atom scattering factors, no anomalous dispersion.

Most intense lines, 15 to 90 degrees two-theta, sorted by position:
d = 3.853 Å, 2θ = 23.08°, intensity 49.1
d = 3.442 Å, 2θ = 25.88°, intensity 92.6
d = 3.346 Å, 2θ = 26.64°, intensity 55.9
d = 2.730 Å, 2θ = 32.80°, intensity 39.8
d = 2.661 Å, 2θ = 33.68°, intensity 100.0
d = 2.353 Å, 2θ = 38.25°, intensity 37.2
d = 2.291 Å, 2θ = 39.32°, intensity 40.6
d = 1.923 Å, 2θ = 47.27°, intensity 71.8

Structural model:
Lattice parameters (Å, degrees): 4.961 4.961 6.693 90.21 90.21 71.56
Fractional positions:
Ag (0.000, 0.500, 0.000)
Ag (0.140, 0.140, 0.368)
Ag (0.500, 0.000, 0.000)
Ag (0.860, 0.860, 0.632)
S (0.000, 0.000, 0.000)
I (0.500, 0.500, 0.500)


No. 3
For Ag7S2I2, a PBE-relaxed structure gives the computed X-ray powder pattern in this record (Cu Kα, 1.54184 Å).
Neutral-atom scattering factors, no anomalous dispersion.

Most intense lines, 15 to 90 degrees two-theta, sorted by position:
d = 3.771 Å, 2θ = 23.59°, intensity 71.7
d = 3.507 Å, 2θ = 25.40°, intensity 100.0
d = 3.051 Å, 2θ = 29.27°, intensity 41.6
d = 2.778 Å, 2θ = 32.23°, intensity 75.2
d = 2.573 Å, 2θ = 34.88°, intensity 56.0
d = 2.378 Å, 2θ = 37.84°, intensity 70.4
d = 2.158 Å, 2θ = 41.86°, intensity 44.6
d = 1.990 Å, 2θ = 45.57°, intensity 35.9

Structural model:
Lattice parameters (Å, degrees): 4.248 4.365 17.968 93.36 91.62 112.81
Fractional positions:
Ag (0.000, 0.000, 0.000)
Ag (0.029, 0.166, 0.219)
Ag (0.368, 0.534, 0.905)
Ag (0.454, 0.944, 0.541)
Ag (0.690, 0.418, 0.091)
Ag (0.797, 0.584, 0.461)
Ag (0.928, 0.171, 0.770)
S (0.238, 0.890, 0.115)
S (0.718, 0.142, 0.893)
I (0.104, 0.300, 0.629)
I (0.724, 0.529, 0.305)


No. 4
For Ag9S4I4, a PBE-relaxed structure gives the computed X-ray powder pattern in this record (Cu Kα, 1.54184 Å).
Neutral-atom scattering factors, no anomalous dispersion.

Most intense lines, 15 to 90 degrees two-theta, sorted by position:
d = 3.212 Å, 2θ = 27.77°, intensity 26.6
d = 3.024 Å, 2θ = 29.54°, intensity 100.0
d = 2.983 Å, 2θ = 29.96°, intensity 29.9
d = 2.807 Å, 2θ = 31.89°, intensity 27.1
d = 2.340 Å, 2θ = 38.47°, intensity 25.4
d = 2.147 Å, 2θ = 42.08°, intensity 35.3
d = 2.060 Å, 2θ = 43.95°, intensity 47.8
d = 2.056 Å, 2θ = 44.05°, intensity 16.6

Structural model:
Lattice parameters (Å, degrees): 4.129 4.129 27.125 90.95 90.95 62.67
Fractional positions:
Ag (0.000, 0.000, 0.000)
Ag (0.008, 0.008, 0.245)
Ag (0.194, 0.194, 0.345)
Ag (0.272, 0.272, 0.716)
Ag (0.358, 0.358, 0.089)
Ag (0.552, 0.552, 0.434)
Ag (0.619, 0.619, 0.187)
Ag (0.627, 0.627, 0.855)
Ag (0.919, 0.919, 0.578)
S (0.076, 0.076, 0.145)
S (0.471, 0.471, 0.289)
S (0.660, 0.660, 0.039)
S (0.892, 0.892, 0.395)
I (0.252, 0.252, 0.514)
I (0.294, 0.294, 0.919)
I (0.599, 0.599, 0.649)
I (0.945, 0.945, 0.784)


No. 5
For Ag3SI, a PBE-relaxed structure gives the computed X-ray powder pattern in this record (Cu Kα, 1.54184 Å).
Neutral-atom scattering factors, no anomalous dispersion.

Most intense lines, 15 to 90 degrees two-theta, sorted by position:
d = 3.507 Å, 2θ = 25.39°, intensity 38.7
d = 3.489 Å, 2θ = 25.53°, intensity 40.1
d = 2.915 Å, 2θ = 30.67°, intensity 100.0
d = 2.837 Å, 2θ = 31.53°, intensity 75.8
d = 2.508 Å, 2θ = 35.80°, intensity 45.0
d = 2.438 Å, 2θ = 36.87°, intensity 56.7
d = 2.244 Å, 2θ = 40.18°, intensity 23.8
d = 1.748 Å, 2θ = 52.33°, intensity 28.9

Structural model:
Lattice parameters (Å, degrees): 5.020 4.876 5.060 90.00 92.38 90.00
Fractional positions:
Ag (0.000, 0.000, 0.000)
Ag (0.114, 0.500, 0.654)
Ag (0.519, 0.500, 0.253)
S (0.006, 0.500, 0.147)
I (0.510, 0.000, 0.636)


No. 6
For Ag3SI, a PBE-relaxed structure gives the computed X-ray powder pattern in this record (Cu Kα, 1.54184 Å).
Neutral-atom scattering factors, no anomalous dispersion.

Most intense lines, 15 to 90 degrees two-theta, sorted by position:
d = 3.503 Å, 2θ = 25.42°, intensity 38.2
d = 2.863 Å, 2θ = 31.24°, intensity 100.0
d = 2.479 Å, 2θ = 36.24°, intensity 58.3
d = 2.217 Å, 2θ = 40.70°, intensity 44.5
d = 2.024 Å, 2θ = 44.79°, intensity 45.1
d = 1.753 Å, 2θ = 52.16°, intensity 23.1
d = 1.568 Å, 2θ = 58.91°, intensity 16.5
d = 1.324 Å, 2θ = 71.21°, intensity 18.8

Structural model:
Lattice parameters (Å, degrees): 4.958 4.958 4.958 89.91 89.91 89.91
Fractional positions:
Ag (0.049, 0.404, 0.548)
Ag (0.404, 0.548, 0.049)
Ag (0.548, 0.049, 0.404)
S (0.552, 0.552, 0.552)
I (0.020, 0.020, 0.020)


No. 7
For Ag3SI, a PBE-relaxed structure gives the computed X-ray powder pattern in this record (Cu Kα, 1.54184 Å).
Neutral-atom scattering factors, no anomalous dispersion.

Most intense lines, 15 to 90 degrees two-theta, sorted by position:
d = 3.043 Å, 2θ = 29.35°, intensity 27.8
d = 3.003 Å, 2θ = 29.75°, intensity 27.5
d = 2.868 Å, 2θ = 31.19°, intensity 98.0
d = 2.857 Å, 2θ = 31.31°, intensity 100.0
d = 2.538 Å, 2θ = 35.37°, intensity 23.6
d = 2.492 Å, 2θ = 36.04°, intensity 44.1
d = 2.411 Å, 2θ = 37.29°, intensity 63.1
d = 1.733 Å, 2θ = 52.83°, intensity 28.0

Structural model:
Lattice parameters (Å, degrees): 6.933 6.938 6.992 118.78 118.36 91.90
Fractional positions:
Ag (0.000, 0.000, 0.000)
Ag (0.029, 0.518, 0.041)
Ag (0.139, 0.022, 0.653)
Ag (0.489, 0.498, 0.989)
Ag (0.525, 0.640, 0.655)
Ag (0.639, 0.130, 0.258)
S (0.332, 0.327, 0.160)
S (0.833, 0.821, 0.157)
I (0.063, 0.563, 0.621)
I (0.563, 0.062, 0.619)


No. 8
For Ag3SI, a PBE-relaxed structure gives the computed X-ray powder pattern in this record (Cu Kα, 1.54184 Å).
Neutral-atom scattering factors, no anomalous dispersion.

Most intense lines, 15 to 90 degrees two-theta, sorted by position:
d = 3.038 Å, 2θ = 29.40°, intensity 14.5
d = 3.013 Å, 2θ = 29.65°, intensity 14.7
d = 2.876 Å, 2θ = 31.10°, intensity 100.0
d = 2.530 Å, 2θ = 35.48°, intensity 14.6
d = 2.501 Å, 2θ = 35.91°, intensity 21.6
d = 2.442 Å, 2θ = 36.81°, intensity 29.4
d = 2.049 Å, 2θ = 44.19°, intensity 14.6
d = 1.747 Å, 2θ = 52.36°, intensity 14.0

Structural model:
Lattice parameters (Å, degrees): 7.116 7.033 6.991 60.98 59.80 59.22
Fractional positions:
Ag (0.000, 0.000, 0.000)
Ag (0.010, 0.010, 0.490)
Ag (0.398, 0.398, 0.602)
Ag (0.501, 0.896, 0.104)
Ag (0.510, 0.510, 0.990)
Ag (0.896, 0.501, 0.499)
S (0.194, 0.695, 0.305)
S (0.695, 0.194, 0.806)
I (0.456, 0.957, 0.544)
I (0.957, 0.456, 0.043)